# Tm2MoO6
Simulated X-ray diffraction stick pattern, a wavelength of 1.5418 Å. Input: a PBE+U-relaxed structure.
Intensities are scaled so that the largest is 100.

Crystal structure
```
data_Tm2MoO6
_cell_length_a 16.309
_cell_length_b 10.994
_cell_length_c 5.327
_cell_angle_alpha 90.00
_cell_angle_beta 108.22
_cell_angle_gamma 90.00
_space_group_name_H-M_alt 'C 1 2/c 1'
_space_group_IT_number 15
_space_group_name_Hall '-C 2yc'
loop_
_atom_site_label
_atom_site_type_symbol
_atom_site_fract_x
_atom_site_fract_y
_atom_site_fract_z
Tm1 Tm 0.000 0.105 0.250
Tm2 Tm 0.000 0.363 0.750
Tm3 Tm 0.167 0.115 0.876
Mo1 Mo 0.154 0.358 0.437
O1 O 0.072 0.234 0.580
O2 O 0.079 0.470 0.486
O3 O 0.091 0.019 0.077
O4 O 0.105 0.280 0.120
O5 O 0.229 0.295 0.747
O6 O 0.238 0.449 0.363
```

Largest 10 diffraction maxima, by intensity, 10 to 80 degrees two-theta:
(hkl)	2theta	I_rel
2 2 1	28.9	100
4 2 -1	29.2	94
6 4 0	48.4	27
2 4 -2	47.5	26
0 4 0	32.6	23
2 0 -2	33.7	21
6 0 0	34.7	20
4 0 2	48.8	15
8 2 1	58.6	13
0 2 3	57.1	13